(1)
Simulated X-ray diffraction stick pattern
Compound: Th2Te3Br
Radiation: copper Kα
Structure: a crystal structure in Alexandria, relaxed with GGA-PBE

Structural model:
```
Th2Te3Br
1.0
4.2311 2.4429 6.7283
-4.2311 2.4429 6.7283
0.0000 -4.8857 6.7283
Th Te Br
4 6 2
Direct
0.1417 0.1417 0.1417
0.3583 0.3583 0.3583
0.6417 0.6417 0.6417
0.8583 0.8583 0.8583
0.0256 0.7500 0.4744
0.2500 0.5256 0.9744
0.4744 0.0256 0.7500
0.5256 0.9744 0.2500
0.7500 0.4744 0.0256
0.9744 0.2500 0.5256
0.0000 0.0000 0.0000
0.5000 0.5000 0.5000
```

Main lines, in order of rising 2θ (15 to 90 degrees two-theta):
2θ = 21.00°, I 898; 2θ = 24.86°, I 727; 2θ = 30.14°, I 517; 2θ = 34.05°, I 1000; 2θ = 36.79°, I 948; 2θ = 37.02°, I 522

(2)
Simulated X-ray diffraction stick pattern
Compound: UHBr6
Radiation: copper Kα
Structure: a crystal structure in Alexandria, relaxed with GGA-PBE

Structural model:
```
UHBr6
1.0
7.1745 0.0000 0.0000
3.1967 6.7035 0.0000
3.3105 2.2240 6.6536
U H Br
1 1 6
Direct
0.0000 0.0000 0.0000
0.0000 0.5000 0.0000
0.1476 0.8059 0.3169
0.1844 0.3258 0.8730
0.3675 0.7983 0.7863
0.6325 0.2017 0.2137
0.8156 0.6742 0.1270
0.8524 0.1941 0.6831
```

Main lines, in order of rising 2θ (15 to 90 degrees two-theta):
2θ = 15.94°, I 572; 2θ = 16.46°, I 843; 2θ = 16.75°, I 734; 2θ = 26.39°, I 1000; 2θ = 26.45°, I 886; 2θ = 27.46°, I 593

Copy entry 1 word for word.
Simulated X-ray diffraction stick pattern
Compound: Th2Te3Br
Radiation: copper Kα
Structure: a crystal structure in Alexandria, relaxed with GGA-PBE

Structural model:
```
Th2Te3Br
1.0
4.2311 2.4429 6.7283
-4.2311 2.4429 6.7283
0.0000 -4.8857 6.7283
Th Te Br
4 6 2
Direct
0.1417 0.1417 0.1417
0.3583 0.3583 0.3583
0.6417 0.6417 0.6417
0.8583 0.8583 0.8583
0.0256 0.7500 0.4744
0.2500 0.5256 0.9744
0.4744 0.0256 0.7500
0.5256 0.9744 0.2500
0.7500 0.4744 0.0256
0.9744 0.2500 0.5256
0.0000 0.0000 0.0000
0.5000 0.5000 0.5000
```

Main lines, in order of rising 2θ (15 to 90 degrees two-theta):
2θ = 21.00°, I 898; 2θ = 24.86°, I 727; 2θ = 30.14°, I 517; 2θ = 34.05°, I 1000; 2θ = 36.79°, I 948; 2θ = 37.02°, I 522

Copy entry 1 word for word.
Simulated X-ray diffraction stick pattern
Compound: Th2Te3Br
Radiation: copper Kα
Structure: a crystal structure in Alexandria, relaxed with GGA-PBE

Structural model:
```
Th2Te3Br
1.0
4.2311 2.4429 6.7283
-4.2311 2.4429 6.7283
0.0000 -4.8857 6.7283
Th Te Br
4 6 2
Direct
0.1417 0.1417 0.1417
0.3583 0.3583 0.3583
0.6417 0.6417 0.6417
0.8583 0.8583 0.8583
0.0256 0.7500 0.4744
0.2500 0.5256 0.9744
0.4744 0.0256 0.7500
0.5256 0.9744 0.2500
0.7500 0.4744 0.0256
0.9744 0.2500 0.5256
0.0000 0.0000 0.0000
0.5000 0.5000 0.5000
```

Main lines, in order of rising 2θ (15 to 90 degrees two-theta):
2θ = 21.00°, I 898; 2θ = 24.86°, I 727; 2θ = 30.14°, I 517; 2θ = 34.05°, I 1000; 2θ = 36.79°, I 948; 2θ = 37.02°, I 522

Copy entry 1 word for word.
Simulated X-ray diffraction stick pattern
Compound: Th2Te3Br
Radiation: copper Kα
Structure: a crystal structure in Alexandria, relaxed with GGA-PBE

Structural model:
```
Th2Te3Br
1.0
4.2311 2.4429 6.7283
-4.2311 2.4429 6.7283
0.0000 -4.8857 6.7283
Th Te Br
4 6 2
Direct
0.1417 0.1417 0.1417
0.3583 0.3583 0.3583
0.6417 0.6417 0.6417
0.8583 0.8583 0.8583
0.0256 0.7500 0.4744
0.2500 0.5256 0.9744
0.4744 0.0256 0.7500
0.5256 0.9744 0.2500
0.7500 0.4744 0.0256
0.9744 0.2500 0.5256
0.0000 0.0000 0.0000
0.5000 0.5000 0.5000
```

Main lines, in order of rising 2θ (15 to 90 degrees two-theta):
2θ = 21.00°, I 898; 2θ = 24.86°, I 727; 2θ = 30.14°, I 517; 2θ = 34.05°, I 1000; 2θ = 36.79°, I 948; 2θ = 37.02°, I 522